(1)
Diffraction record for IrRhBr6N5Cl. The powder diffractogram is calculated, not measured: it uses a cell relaxed with GGA-PBE and Cu Kα (weighted mean of Kα1 and Kα2).

Principal peaks in the range 15 to 90 degrees two-theta, by intensity:
15.80 deg, I 100, hkl 0 1 2
15.66 deg, I 42, hkl 2 0 0
23.52 deg, I 29, hkl 0 2 0
32.82 deg, I 28, hkl 3 2 -1
16.09 deg, I 27, hkl 2 0 -2
28.37 deg, I 20, hkl 2 2 0
19.92 deg, I 18, hkl 2 1 -2
32.44 deg, I 17, hkl 4 0 -4
48.10 deg, I 16, hkl 0 4 0
21.23 deg, I 16, hkl 0 0 4
38.58 deg, I 16, hkl 2 2 4
32.08 deg, I 15, hkl 0 0 6

Atomic structure:
```
data_IrRhBr6N5Cl
_chemical_formula_sum 'Ir4 Rh4 Br24 N20 Cl4'
_symmetry_space_group_name_H-M 'P 1 21/m 1'
_symmetry_Int_Tables_number 11
_cell_length_a 11.8603
_cell_length_b 7.5648
_cell_length_c 17.5489
_cell_angle_alpha 90.00
_cell_angle_beta 107.45
_cell_angle_gamma 90.00
loop_
_symmetry_equiv_pos_as_xyz
'x,y,z'
'-x,-y,-z'
'-x,y+1/2,-z'
'x,-y+1/2,z'
loop_
_atom_site_label
_atom_site_type_symbol
_atom_site_fract_x
_atom_site_fract_y
_atom_site_fract_z
Ir1 Ir 0.2103 0.2500 0.1649
Ir2 Ir 0.2557 0.2500 0.6630
Rh1 Rh 0.2396 0.7500 0.8785
Rh2 Rh 0.3236 0.7500 0.3442
Br1 Br 0.0333 0.0451 0.1288
Br2 Br 0.0997 0.2500 0.7304
Br3 Br 0.1048 0.2500 0.5230
Br4 Br 0.2015 0.2500 0.0202
Br5 Br 0.2097 0.5610 0.6314
Br6 Br 0.2211 0.2500 0.3125
Br7 Br 0.3633 0.0212 0.1866
Br8 Br 0.4052 0.2500 0.7952
Br9 Br 0.4167 0.2500 0.5934
N1 N 0.0601 0.7500 0.8524
N2 N 0.2182 0.5474 0.3592
N3 N 0.2673 0.5556 0.8347
N4 N 0.2685 0.7500 0.2408
N5 N 0.2925 0.7500 0.6988
N6 N 0.3447 0.7500 0.9890
N7 N 0.4646 0.5762 0.3637
Cl1 Cl 0.3592 0.7500 0.4940
Cl2 Cl 0.4882 0.7500 0.0037
```

***

(2)
Diffraction record for BaSrCeHfO6. The powder diffractogram is calculated, not measured: it uses a cell relaxed with GGA-PBE and Cu Kα (weighted mean of Kα1 and Kα2).

Principal peaks in the range 15 to 90 degrees two-theta, by intensity:
29.29 deg, I 100, hkl 2 2 0
51.93 deg, I 41, hkl 4 2 2
41.89 deg, I 30, hkl 4 0 0
83.95 deg, I 22, hkl 6 4 2
60.74 deg, I 19, hkl 4 4 0
68.84 deg, I 18, hkl 6 2 0
20.59 deg, I 8, hkl 2 0 0
76.52 deg, I 6, hkl 4 4 4
47.12 deg, I 3, hkl 4 2 0
17.81 deg, I 3, hkl 1 1 1
34.49 deg, I 2, hkl 3 1 1
64.86 deg, I 2, hkl 6 0 0

Atomic structure:
```
data_BaSrCeHfO6
_chemical_formula_sum 'Ba4 Sr4 Ce4 Hf4 O24'
_symmetry_space_group_name_H-M 'F -4 3 m'
_symmetry_Int_Tables_number 216
_symmetry_space_group_name_Hall 'F -4 2 3'
_cell_length_a 8.6256
_cell_length_b 8.6256
_cell_length_c 8.6256
_cell_angle_alpha 90.00
_cell_angle_beta 90.00
_cell_angle_gamma 90.00
loop_
_atom_site_label
_atom_site_type_symbol
_atom_site_fract_x
_atom_site_fract_y
_atom_site_fract_z
Ba1 Ba 0.0000 0.0000 0.0000
Sr1 Sr 0.0000 0.0000 0.5000
Ce1 Ce 0.2500 0.2500 0.2500
Hf1 Hf 0.2500 0.2500 0.7500
O1 O 0.0086 0.2500 0.7500
```

***

(3)
Diffraction record for U2AsS. The powder diffractogram is calculated, not measured: it uses a cell relaxed with GGA-PBE and Cu Kα (weighted mean of Kα1 and Kα2).

Principal peaks in the range 15 to 90 degrees two-theta, by intensity:
31.79 deg, I 100, hkl 1 0 4
27.18 deg, I 54, hkl 0 1 2
44.91 deg, I 39, hkl 1 1 0
46.24 deg, I 34, hkl 0 1 8
56.07 deg, I 20, hkl 0 2 4
74.55 deg, I 18, hkl 2 1 4
53.88 deg, I 17, hkl 1 1 6
28.20 deg, I 16, hkl 0 0 6
76.50 deg, I 15, hkl 1 1 12
83.80 deg, I 13, hkl 1 2 8
66.43 deg, I 12, hkl 2 0 8
53.29 deg, I 9, hkl 2 0 2

Atomic structure:
```
data_U2AsS
_chemical_formula_sum 'U6 As3 S3'
_symmetry_space_group_name_H-M 'R -3 m'
_symmetry_Int_Tables_number 166
_symmetry_space_group_name_Hall '-R 3 2"'
_cell_length_a 4.0365
_cell_length_b 4.0365
_cell_length_c 18.9861
_cell_angle_alpha 90.00
_cell_angle_beta 90.00
_cell_angle_gamma 120.00
loop_
_atom_site_label
_atom_site_type_symbol
_atom_site_fract_x
_atom_site_fract_y
_atom_site_fract_z
U1 U 0.0000 0.0000 0.2447
As1 As 0.0000 0.0000 0.0000
S1 S 0.0000 0.0000 0.5000
```

***

(4)
Diffraction record for MgSc2Cd. The powder diffractogram is calculated, not measured: it uses a cell relaxed with GGA-PBE and Cu Kα (weighted mean of Kα1 and Kα2).

Principal peaks in the range 15 to 90 degrees two-theta, by intensity:
35.65 deg, I 100, hkl 2 2 0
21.61 deg, I 36, hkl 1 1 1
64.05 deg, I 33, hkl 4 2 2
42.08 deg, I 19, hkl 3 1 1
51.31 deg, I 17, hkl 4 0 0
86.40 deg, I 14, hkl 6 2 0
75.51 deg, I 10, hkl 4 4 0
56.30 deg, I 8, hkl 3 3 1
25.00 deg, I 6, hkl 2 0 0
68.45 deg, I 6, hkl 5 1 1
79.63 deg, I 5, hkl 5 3 1
57.90 deg, I 3, hkl 4 2 0

Atomic structure:
```
data_MgSc2Cd
_chemical_formula_sum 'Mg4 Sc8 Cd4'
_symmetry_space_group_name_H-M 'F m -3 m'
_symmetry_Int_Tables_number 225
_symmetry_space_group_name_Hall '-F 4 2 3'
_cell_length_a 7.1225
_cell_length_b 7.1225
_cell_length_c 7.1225
_cell_angle_alpha 90.00
_cell_angle_beta 90.00
_cell_angle_gamma 90.00
loop_
_atom_site_label
_atom_site_type_symbol
_atom_site_fract_x
_atom_site_fract_y
_atom_site_fract_z
Mg1 Mg 0.0000 0.0000 0.0000
Sc1 Sc 0.2500 0.2500 0.2500
Cd1 Cd 0.0000 0.0000 0.5000
```

***

(5)
Diffraction record for La2Ti3O9. The powder diffractogram is calculated, not measured: it uses a cell relaxed with GGA-PBE and Cu Kα (weighted mean of Kα1 and Kα2).

Principal peaks in the range 15 to 90 degrees two-theta, by intensity:
41.81 deg, I 100, hkl 4 1 1
23.78 deg, I 91, hkl 2 1 1
27.52 deg, I 51, hkl 2 2 0
62.46 deg, I 43, hkl 5 3 2
36.69 deg, I 38, hkl 3 2 1
58.74 deg, I 36, hkl 5 0 3
50.79 deg, I 36, hkl 4 1 3
19.37 deg, I 34, hkl 2 0 0
30.85 deg, I 33, hkl 3 1 0
60.61 deg, I 21, hkl 6 0 0
33.88 deg, I 18, hkl 2 2 2
39.32 deg, I 14, hkl 4 0 0

Atomic structure:
```
data_La2Ti3O9
_chemical_formula_sum 'La8 Ti12 O36'
_symmetry_space_group_name_H-M 'I 2 3'
_symmetry_Int_Tables_number 197
_symmetry_space_group_name_Hall 'I 2 2 3'
_cell_length_a 9.1660
_cell_length_b 9.1660
_cell_length_c 9.1660
_cell_angle_alpha 90.00
_cell_angle_beta 90.00
_cell_angle_gamma 90.00
loop_
_atom_site_label
_atom_site_type_symbol
_atom_site_fract_x
_atom_site_fract_y
_atom_site_fract_z
La1 La 0.2017 0.2017 0.2017
Ti1 Ti 0.0000 0.3446 0.5000
O1 O 0.0000 0.0000 0.3585
O2 O 0.0266 0.3212 0.7129
```

***

(6)
Diffraction record for Hf6Al16Co7. The powder diffractogram is calculated, not measured: it uses a cell relaxed with GGA-PBE and Cu Kα (weighted mean of Kα1 and Kα2).

Principal peaks in the range 15 to 90 degrees two-theta, by intensity:
39.02 deg, I 100, hkl 3 3 3
42.64 deg, I 57, hkl 4 4 0
32.54 deg, I 49, hkl 3 3 1
36.71 deg, I 45, hkl 4 2 2
29.80 deg, I 42, hkl 4 0 0
66.10 deg, I 32, hkl 8 2 2
45.37 deg, I 24, hkl 6 0 0
54.65 deg, I 19, hkl 5 5 1
79.52 deg, I 19, hkl 9 3 3
59.17 deg, I 19, hkl 7 3 1
63.49 deg, I 17, hkl 7 3 3
72.19 deg, I 17, hkl 8 4 2

Atomic structure:
```
data_Hf6Al16Co7
_chemical_formula_sum 'Hf24 Al64 Co28'
_symmetry_space_group_name_H-M 'F m -3 m'
_symmetry_Int_Tables_number 225
_symmetry_space_group_name_Hall '-F 4 2 3'
_cell_length_a 11.9938
_cell_length_b 11.9938
_cell_length_c 11.9938
_cell_angle_alpha 90.00
_cell_angle_beta 90.00
_cell_angle_gamma 90.00
loop_
_atom_site_label
_atom_site_type_symbol
_atom_site_fract_x
_atom_site_fract_y
_atom_site_fract_z
Hf1 Hf 0.0000 0.0000 0.1918
Al1 Al 0.1184 0.1184 0.3816
Al2 Al 0.1647 0.1647 0.1647
Co1 Co 0.0000 0.0000 0.5000
Co2 Co 0.0000 0.2500 0.2500
```

***

Number 5 is which compound? La2Ti3O9